Record 1
Starting from a GGA-PBE-relaxed structure, the powder X-ray diffraction pattern of Li3Dy4PaSe8 was computed for λ = 1.5418 Å (Cu Kα).
Intensities are scaled so that the largest is 1000.

Unit cell a=8.0766 b=8.0766 c=19.7109 alpha=90.00 beta=90.00 gamma=120.00
Space group R-3m (No. 166, hexagonal axes)
Asymmetric unit:
Li  0.0000  0.5000  0.0000 x9
Dy  0.0000  0.0000  0.5000 x3
Dy  0.0000  0.5000  0.5000 x9
Pa  0.0000  0.0000  0.0000 x3
Se  0.0000  0.0000  0.2518 x6
Se  0.0060  0.5030  0.2528 x18

Most intense lines, 2θ = 10–80°, by angle:
2theta	d (Å)	I/Imax
13.46	6.581	281
25.89	3.441	224
31.37	2.852	1000
34.26	2.618	111
44.89	2.019	371
45.01	2.014	366
55.78	1.648	194
65.45	1.426	119
74.29	1.277	166
74.46	1.274	163

***

Record 2
Starting from a GGA-PBE-relaxed structure, the powder X-ray diffraction pattern of LiDy2Pb2 was computed for λ = 1.5418 Å (Cu Kα).
Intensities are scaled so that the largest is 1000.

Unit cell a=6.581 b=13.006 c=6.379 alpha=90.00 beta=90.00 gamma=90.00
Space group Ibam (No. 72)
Asymmetric unit:
Li  0.000  0.000  0.250 x4
Dy  0.215  0.360  0.000 x8
Pb  0.239  0.118  0.000 x8

Most intense lines, 2θ = 10–80°, by angle:
2theta	d (Å)	I/Imax
27.10	3.290	983
27.43	3.251	973
27.97	3.190	1000
38.94	2.313	733
39.34	2.290	767
39.58	2.277	769
48.63	1.872	761
70.64	1.333	197
71.12	1.326	205
71.91	1.313	249

***

Record 3
Starting from a GGA-PBE-relaxed structure, the powder X-ray diffraction pattern of Li2DyPb4 was computed for λ = 1.5418 Å (Cu Kα).
Intensities are scaled so that the largest is 1000.

Unit cell a=7.256 b=7.256 c=7.354 alpha=90.00 beta=90.00 gamma=90.00
Space group I4/mmm (No. 139)
Asymmetric unit:
Li  0.000  0.500  0.000 x4
Dy  0.000  0.000  0.000 x2
Pb  0.250  0.250  0.250 x8

Most intense lines, 2θ = 10–80°, by angle:
2theta	d (Å)	I/Imax
17.17	5.165	148
24.20	3.677	263
24.54	3.628	510
34.74	2.583	1000
34.97	2.565	491
42.99	2.104	243
50.30	1.814	179
62.11	1.494	192
62.57	1.484	376
73.31	1.291	120

***

Record 4
Starting from a GGA-PBE-relaxed structure, the powder X-ray diffraction pattern of LiDyPtPb was computed for λ = 1.5418 Å (Cu Kα).
Intensities are scaled so that the largest is 1000.

Unit cell a=6.826 b=6.826 c=6.826 alpha=90.00 beta=90.00 gamma=90.00
Space group F-43m (No. 216)
Asymmetric unit:
Li  0.000  0.000  0.000 x4
Dy  0.250  0.250  0.250 x4
Pt  0.000  0.000  0.500 x4
Pb  0.250  0.250  0.750 x4

Most intense lines, 2θ = 10–80°, by angle:
2theta	d (Å)	I/Imax
22.56	3.941	275
26.11	3.413	112
37.26	2.413	1000
44.00	2.058	148
53.71	1.707	177
58.98	1.566	63
60.67	1.526	44
67.18	1.393	365
71.87	1.314	47
79.41	1.207	116

***

Record 5
Starting from a GGA-PBE-relaxed structure, the powder X-ray diffraction pattern of Li2Dy2ThPb2 was computed for λ = 1.5418 Å (Cu Kα).
Intensities are scaled so that the largest is 1000.

Unit cell a=4.8901 b=4.8901 c=26.7967 alpha=90.00 beta=90.00 gamma=120.00
Space group R-3m (No. 166, hexagonal axes)
Asymmetric unit:
Li  0.0000  0.0000  0.0898 x6
Dy  0.0000  0.0000  0.3705 x6
Th  0.0000  0.0000  0.5000 x3
Pb  0.0000  0.0000  0.2377 x6

Most intense lines, 2θ = 10–80°, by angle:
2theta	d (Å)	I/Imax
21.24	4.183	694
24.87	3.580	236
31.50	2.840	811
34.13	2.627	986
36.76	2.445	1000
49.17	1.853	271
51.03	1.790	322
62.94	1.477	247
64.57	1.443	671
66.20	1.412	184

***

Record 6
Starting from a GGA-PBE-relaxed structure, the powder X-ray diffraction pattern of LiDyTlPb was computed for λ = 1.5418 Å (Cu Kα).
Intensities are scaled so that the largest is 1000.

Unit cell a=4.256 b=4.790 c=4.973 alpha=90.00 beta=90.00 gamma=90.00
Space group Pmmm (No. 47)
Asymmetric unit:
Li  0.000  0.000  0.000 x1
Dy  0.000  0.500  0.500 x1
Tl  0.500  0.500  0.000 x1
Pb  0.500  0.000  0.500 x1

Most intense lines, 2θ = 10–80°, by angle:
2theta	d (Å)	I/Imax
20.87	4.256	138
25.83	3.450	167
33.43	2.680	1000
36.12	2.486	204
37.56	2.395	183
42.48	2.128	131
53.09	1.725	138
63.26	1.470	163
65.16	1.432	150
70.24	1.340	121